Entry 1:
For Sr2Li6ZnCd, a DFT-relaxed cell (GGA-PBE, Alexandria) gives the simulated powder XRD pattern in this record (a wavelength of 1.5418 Å).
No peak broadening, texture or thermal motion is included.

The 10 most intense peaks (2θ = 5–70°), by intensity:
index, d_spacing, I/Imax
2 0 0, 3.640, 100
2 4 0, 2.102, 36
0 4 0, 2.574, 25
4 0 0, 1.820, 14
4 2 1, 1.376, 14
2 0 2, 1.629, 13
4 2 -3, 2.098, 7
6 2 -3, 1.626, 6
6 4 -4, 1.375, 5
1 1 0, 5.944, 3

Structural model:
```
data_Sr2Li6ZnCd
_cell_length_a 10.2790
_cell_length_b 10.3040
_cell_length_c 7.2668
_cell_angle_alpha 90.00
_cell_angle_beta 134.86
_cell_angle_gamma 90.00
_space_group_name_H-M_alt 'C 1 2/m 1'
_space_group_IT_number 12
loop_
_space_group_symop_operation_xyz
'x,y,z'
'-x,-y,-z'
'-x,y,-z'
'x,-y,z'
'x+1/2,y+1/2,z'
'-x+1/2,-y+1/2,-z'
'-x+1/2,y+1/2,-z'
'x+1/2,-y+1/2,z'
loop_
_atom_site_label
_atom_site_fract_x
_atom_site_fract_y
_atom_site_fract_z
Sr1 0.0000 0.2501 0.0000
Li1 0.0000 0.2430 0.5000
Li2 0.2430 0.0000 0.5001
Li3 0.2431 0.0000 0.9859
Zn1 0.0000 0.0000 0.5000
Cd1 0.0000 0.5000 0.5000
```



Entry 2:
For Sm3Ga2Rh6, a DFT-relaxed cell (GGA-PBE, Alexandria) gives the simulated powder XRD pattern in this record (a wavelength of 1.5418 Å).
No peak broadening, texture or thermal motion is included.

The 10 most intense peaks (2θ = 5–70°), by intensity:
index, d_spacing, I/Imax
3 3 0, 2.217, 100
3 2 1, 2.514, 25
2 2 2, 2.715, 23
3 1 0, 2.974, 15
1 1 0, 6.651, 14
6 2 2, 1.418, 13
5 3 2, 1.526, 12
4 0 0, 2.351, 11
6 0 0, 1.568, 9
5 2 1, 1.717, 9

Structural model:
```
data_Sm3Ga2Rh6
_cell_length_a 9.4053
_cell_length_b 9.4053
_cell_length_c 9.4053
_cell_angle_alpha 90.00
_cell_angle_beta 90.00
_cell_angle_gamma 90.00
_space_group_name_H-M_alt 'I m -3 m'
_space_group_IT_number 229
_space_group_name_Hall '-I 4 2 3'
loop_
_atom_site_label
_atom_site_fract_x
_atom_site_fract_y
_atom_site_fract_z
Sm1 0.0000 0.0000 0.2897
Ga1 0.2500 0.2500 0.2500
Rh1 0.0000 0.3441 0.3441
```